The following is a calculated powder diffractogram of SrAcH4. It was derived from a structure optimized by DFT (PBE), using copper Kα.
Kinematic intensities with the Lorentz-polarization factor, no thermal factor.

Top 10 peaks for 15 to 90 degrees two-theta, in order of rising 2θ:
21.65 deg, rel. 14; 26.40 deg, rel. 100; 30.13 deg, rel. 17; 30.80 deg, rel. 32; 43.63 deg, rel. 27; 44.12 deg, rel. 13; 51.29 deg, rel. 17; 52.15 deg, rel. 32; 54.35 deg, rel. 14; 69.92 deg, rel. 13

Structural model:
a = 4.105 Å, b = 4.105 Å, c = 5.932 Å
α = 90.00°, β = 90.00°, γ = 90.00°
Space group P4/mmm (No. 123)
Unique sites:
Sr  0.000  0.000  0.000 x1
Ac  0.500  0.500  0.500 x1
H  0.000  0.500  0.250 x4

The following is a calculated powder diffractogram of Tb3Pr2Dy7. It was derived from a structure optimized by DFT (PBE), using copper Kα.
Kinematic intensities with the Lorentz-polarization factor, no thermal factor.

Top 10 peaks for 15 to 90 degrees two-theta, in order of rising 2θ:
30.20 deg, rel. 42; 31.06 deg, rel. 23; 31.34 deg, rel. 57; 31.55 deg, rel. 100; 33.65 deg, rel. 34; 34.43 deg, rel. 23; 44.70 deg, rel. 17; 50.49 deg, rel. 23; 55.91 deg, rel. 20; 60.61 deg, rel. 17

Structural model:
a = 5.709 Å, b = 38.059 Å, c = 3.617 Å
α = 90.00°, β = 90.00°, γ = 90.00°
Space group Cmmm (No. 65)
Unique sites:
Tb  0.000  0.000  0.000 x2
Tb  0.000  0.186  0.000 x4
Pr  0.000  0.353  0.500 x4
Dy  0.000  0.089  0.500 x4
Dy  0.000  0.269  0.500 x4
Dy  0.000  0.429  0.000 x4
Dy  0.000  0.500  0.500 x2

The following is a calculated powder diffractogram of Sm4Mg3Cd2. It was derived from a structure optimized by DFT (PBE), using copper Kα.
Kinematic intensities with the Lorentz-polarization factor, no thermal factor.

Top 10 peaks for 15 to 90 degrees two-theta, in order of rising 2θ:
17.65 deg, rel. 12; 21.06 deg, rel. 42; 26.12 deg, rel. 11; 32.96 deg, rel. 99; 33.40 deg, rel. 100; 47.63 deg, rel. 35; 58.57 deg, rel. 14; 59.42 deg, rel. 36; 59.70 deg, rel. 18; 70.16 deg, rel. 11

Structural model:
a = 9.288 Å, b = 5.368 Å, c = 10.052 Å
α = 90.00°, β = 90.06°, γ = 90.00°
Space group C2/m (No. 12)
Unique sites:
Sm  0.000  0.000  0.172 x4
Sm  0.167  0.500  0.620 x4
Mg  0.000  0.000  0.500 x2
Mg  0.167  0.500  0.991 x4
Cd  0.167  0.500  0.301 x4

The following is a calculated powder diffractogram of ErH2. It was derived from a structure optimized by DFT (PBE), using copper Kα.
Kinematic intensities with the Lorentz-polarization factor, no thermal factor.

Top 10 peaks for 15 to 90 degrees two-theta, in order of rising 2θ:
30.33 deg, rel. 100; 35.16 deg, rel. 49; 50.58 deg, rel. 37; 60.09 deg, rel. 29; 60.19 deg, rel. 14; 63.09 deg, rel. 12; 74.27 deg, rel. 4; 82.34 deg, rel. 18; 84.92 deg, rel. 11; 85.08 deg, rel. 6

Structural model:
a = 3.612 Å, b = 3.612 Å, c = 5.097 Å
α = 90.00°, β = 90.00°, γ = 90.00°
Space group I4/mmm (No. 139)
Unique sites:
Er  0.000  0.000  0.000 x2
H  0.000  0.500  0.250 x4

The following is a calculated powder diffractogram of Na3Mn3CrSe8. It was derived from a structure optimized by DFT (PBE), using copper Kα.
Kinematic intensities with the Lorentz-polarization factor, no thermal factor.

Top 10 peaks for 15 to 90 degrees two-theta, in order of rising 2θ:
29.00 deg, rel. 19; 32.56 deg, rel. 100; 40.92 deg, rel. 24; 44.28 deg, rel. 27; 49.04 deg, rel. 35; 50.82 deg, rel. 9; 55.59 deg, rel. 15; 60.10 deg, rel. 16; 81.14 deg, rel. 13; 86.54 deg, rel. 10

Structural model:
a = 12.875 Å, b = 7.429 Å, c = 8.271 Å
α = 90.00°, β = 121.31°, γ = 90.00°
Space group C2/m (No. 12)
Unique sites:
Na  0.000  0.000  0.000 x2
Na  0.250  0.250  0.000 x4
Mn  0.000  0.500  0.500 x2
Mn  0.250  0.250  0.500 x4
Cr  0.000  0.000  0.500 x2
Se  0.017  0.249  0.304 x8
Se  0.231  0.000  0.696 x4
Se  0.234  0.500  0.703 x4

The following is a calculated powder diffractogram of Dy4Cu2Bi. It was derived from a structure optimized by DFT (PBE), using copper Kα.
Kinematic intensities with the Lorentz-polarization factor, no thermal factor.

Top 10 peaks for 15 to 90 degrees two-theta, in order of rising 2θ:
18.86 deg, rel. 61; 26.80 deg, rel. 26; 27.52 deg, rel. 43; 30.20 deg, rel. 76; 31.49 deg, rel. 94; 35.85 deg, rel. 100; 36.27 deg, rel. 38; 38.27 deg, rel. 32; 45.67 deg, rel. 31; 49.10 deg, rel. 28

Structural model:
a = 8.941 Å, b = 13.294 Å, c = 13.317 Å
α = 90.00°, β = 90.00°, γ = 90.00°
Space group Fddd (No. 70, origin choice 2)
Unique sites:
Dy  0.041  0.286  0.464 x32
Cu  0.000  0.000  0.000 x16
Bi  0.125  0.125  0.625 x8

Please write out number 4 again, unchanged.
The following is a calculated powder diffractogram of ErH2. It was derived from a structure optimized by DFT (PBE), using copper Kα.
Kinematic intensities with the Lorentz-polarization factor, no thermal factor.

Top 10 peaks for 15 to 90 degrees two-theta, in order of rising 2θ:
30.33 deg, rel. 100; 35.16 deg, rel. 49; 50.58 deg, rel. 37; 60.09 deg, rel. 29; 60.19 deg, rel. 14; 63.09 deg, rel. 12; 74.27 deg, rel. 4; 82.34 deg, rel. 18; 84.92 deg, rel. 11; 85.08 deg, rel. 6

Structural model:
a = 3.612 Å, b = 3.612 Å, c = 5.097 Å
α = 90.00°, β = 90.00°, γ = 90.00°
Space group I4/mmm (No. 139)
Unique sites:
Er  0.000  0.000  0.000 x2
H  0.000  0.500  0.250 x4